The following is a simulated powder XRD pattern of LiCa5Mg6. It was derived from a PBE-relaxed structure, using Cu Kα.

Structural model:
abc: 5.5106 7.7489 9.5468
angles: 66.07 74.23 89.98
Positions (direct):
Li  0.0000  0.0000  0.0000
Ca  0.0000  0.5000  0.0000
Ca  0.3108  0.8144  0.3710
Ca  0.3361  0.3378  0.3238
Ca  0.6639  0.6622  0.6762
Ca  0.6892  0.1856  0.6290
Mg  0.1568  0.3742  0.6966
Mg  0.1568  0.9298  0.6969
Mg  0.4988  0.7883  0.0005
Mg  0.5012  0.2117  0.9995
Mg  0.8432  0.0702  0.3031
Mg  0.8432  0.6258  0.3034

The 10 most intense peaks (5° ≤ 2θ ≤ 70°), sorted by position:
| d_spacing | I_rel |
| --- | --- |
| 3.078 | 14 |
| 2.777 | 46 |
| 2.766 | 100 |
| 2.755 | 56 |
| 2.740 | 97 |
| 1.975 | 16 |
| 1.937 | 29 |
| 1.598 | 18 |
| 1.590 | 16 |
| 1.584 | 22 |


The following is a simulated powder XRD pattern of KUTe2. It was derived from a PBE-relaxed structure, using Cu Kα.

Structural model:
abc: 4.4313 4.4313 8.6068
angles: 90.00 90.00 120.00
Positions (direct):
K  0.0000  0.0000  0.0000
U  0.0000  0.0000  0.5000
Te  0.3333  0.6667  0.2887
Te  0.6667  0.3333  0.7113

The 10 most intense peaks (5° ≤ 2θ ≤ 70°), sorted by position:
| d_spacing | I_rel |
| --- | --- |
| 8.607 | 81 |
| 3.505 | 74 |
| 2.864 | 100 |
| 2.298 | 35 |
| 2.216 | 42 |
| 2.146 | 18 |
| 1.753 | 24 |
| 1.544 | 17 |
| 1.431 | 17 |
| 1.375 | 21 |


The following is a simulated powder XRD pattern of Ta5Mo3. It was derived from a PBE-relaxed structure, using Cu Kα.

Structural model:
abc: 5.4021 5.4021 5.6359
angles: 99.89 99.89 117.32
Positions (direct):
Ta  0.0000  0.0000  0.0000
Ta  0.4915  0.0171  0.7509
Ta  0.4979  0.5021  0.5000
Ta  0.9802  0.0198  0.5000
Ta  0.9829  0.5085  0.2491
Mo  0.4844  0.5156  0.0000
Mo  0.4913  0.0040  0.2486
Mo  0.9960  0.5087  0.7514

The 10 most intense peaks (5° ≤ 2θ ≤ 70°), sorted by position:
| d_spacing | I_rel |
| --- | --- |
| 4.604 | 3 |
| 4.109 | 4 |
| 3.071 | 5 |
| 2.555 | 5 |
| 2.305 | 100 |
| 2.298 | 100 |
| 1.841 | 1 |
| 1.836 | 1 |
| 1.627 | 34 |
| 1.606 | 2 |


The following is a simulated powder XRD pattern of Pm5Ho4Th2. It was derived from a PBE-relaxed structure, using Cu Kα.

Structural model:
abc: 8.8613 3.5139 11.8343
angles: 90.00 94.33 90.00
Positions (direct):
Pm  0.0000  0.0000  0.0000
Pm  0.0731  0.0000  0.2906
Pm  0.3080  0.0000  0.8380
Pm  0.6920  0.0000  0.1620
Pm  0.9269  0.0000  0.7094
Ho  0.1974  0.5000  0.5460
Ho  0.3389  0.5000  0.1090
Ho  0.6611  0.5000  0.8910
Ho  0.8026  0.5000  0.4540
Th  0.4616  0.0000  0.3666
Th  0.5384  0.0000  0.6334

The 10 most intense peaks (5° ≤ 2θ ≤ 70°), sorted by position:
| d_spacing | I_rel |
| --- | --- |
| 3.125 | 37 |
| 3.019 | 30 |
| 2.910 | 100 |
| 2.891 | 55 |
| 2.864 | 99 |
| 2.833 | 97 |
| 2.824 | 42 |
| 2.750 | 49 |
| 2.651 | 43 |
| 2.621 | 32 |


The following is a simulated powder XRD pattern of TbErMg. It was derived from a PBE-relaxed structure, using Cu Kα.

Structural model:
abc: 3.4232 5.3775 9.4224
angles: 90.00 90.05 90.00
Positions (direct):
Tb  0.0022  0.0000  0.0838
Tb  0.9978  0.5000  0.9162
Er  0.5000  0.0002  0.7443
Er  0.5000  0.5002  0.2557
Mg  0.0011  0.5015  0.5794
Mg  0.9989  0.0015  0.4206

The 10 most intense peaks (5° ≤ 2θ ≤ 70°), sorted by position:
| d_spacing | I_rel |
| --- | --- |
| 9.422 | 74 |
| 3.544 | 23 |
| 2.769 | 51 |
| 2.761 | 100 |
| 2.712 | 87 |
| 2.689 | 43 |
| 1.929 | 36 |
| 1.578 | 18 |
| 1.566 | 18 |
| 1.447 | 26 |


The following is a simulated powder XRD pattern of PmGa7Pd5. It was derived from a PBE-relaxed structure, using Cu Kα.

Structural model:
abc: 6.9068 6.9068 6.9068
angles: 132.91 96.23 102.17
Positions (direct):
Pm  0.0000  0.0000  0.0000
Ga  0.2031  0.5088  0.6943
Ga  0.3270  0.9818  0.3452
Ga  0.3443  0.3443  0.0000
Ga  0.6346  0.6346  0.0000
Ga  0.6366  0.9818  0.6548
Ga  0.7582  0.2582  0.5000
Ga  0.8145  0.5088  0.3057
Pd  0.2271  0.7271  0.5000
Pd  0.5187  0.0005  0.0210
Pd  0.5187  0.4978  0.5182
Pd  0.9795  0.0005  0.4818
Pd  0.9795  0.4978  0.9790

The 10 most intense peaks (5° ≤ 2θ ≤ 70°), sorted by position:
| d_spacing | I_rel |
| --- | --- |
| 2.686 | 37 |
| 2.368 | 93 |
| 2.328 | 71 |
| 2.306 | 48 |
| 2.284 | 96 |
| 2.240 | 47 |
| 2.169 | 54 |
| 2.078 | 100 |
| 2.036 | 31 |
| 1.380 | 26 |